Record 1
The following is a computed X-ray diffraction stick pattern of Ce3B. It was derived from DFT lattice parameters and positions (PBE), using Cu Kα, 1.54184 Å.
Peak positions follow from Bragg's law for the DFT cell and can differ from measured ones.

The 6 most intense peaks (10 to 90 degrees two-theta), sorted by position:
| d [Å] | 2θ (°) | intensity |
| --- | --- | --- |
| 3.203 | 27.85 | 57 |
| 2.933 | 30.47 | 60 |
| 2.631 | 34.08 | 90 |
| 2.462 | 36.49 | 100 |
| 2.163 | 41.75 | 40 |
| 1.439 | 64.79 | 28 |

a = 3.437 Å, b = 8.831 Å, c = 5.867 Å
α = 90.00°, β = 90.00°, γ = 90.00°
Space group Imm2 (No. 44)
Inequivalent atoms, fractional coordinates:
Ce1 0.000 0.000 0.000 [2 per cell]
Ce2 0.000 0.184 0.452 [4 per cell]
B1 0.000 0.500 0.178 [2 per cell]

Record 2
The following is a computed X-ray diffraction stick pattern of SmDyEr4. It was derived from DFT lattice parameters and positions (PBE), using Cu Kα, 1.54184 Å.
Peak positions follow from Bragg's law for the DFT cell and can differ from measured ones.

The 6 most intense peaks (10 to 90 degrees two-theta), sorted by position:
| d [Å] | 2θ (°) | intensity |
| --- | --- | --- |
| 2.809 | 31.86 | 100 |
| 2.800 | 31.97 | 38 |
| 2.790 | 32.08 | 75 |
| 1.982 | 45.78 | 25 |
| 1.614 | 57.05 | 40 |
| 1.468 | 63.38 | 32 |

a = 3.450 Å, b = 5.600 Å, c = 9.654 Å
α = 90.00°, β = 90.00°, γ = 90.00°
Space group Pmmm (No. 47)
Inequivalent atoms, fractional coordinates:
Sm1 0.000 0.000 0.000 [1 per cell]
Dy1 0.000 0.500 0.500 [1 per cell]
Er1 0.500 0.000 0.335 [2 per cell]
Er2 0.500 0.500 0.169 [2 per cell]

Record 3
The following is a computed X-ray diffraction stick pattern of KBF4. It was derived from DFT lattice parameters and positions (PBE), using Cu Kα, 1.54184 Å.
Peak positions follow from Bragg's law for the DFT cell and can differ from measured ones.

The 6 most intense peaks (10 to 90 degrees two-theta), sorted by position:
| d [Å] | 2θ (°) | intensity |
| --- | --- | --- |
| 3.441 | 25.90 | 95 |
| 3.098 | 28.81 | 100 |
| 2.838 | 31.53 | 78 |
| 2.229 | 40.48 | 75 |
| 2.119 | 42.66 | 62 |
| 2.093 | 43.22 | 83 |

a = 8.763 Å, b = 5.556 Å, c = 7.126 Å
α = 90.00°, β = 90.00°, γ = 90.00°
Space group Pnma (No. 62)
Inequivalent atoms, fractional coordinates:
K1 0.184 0.250 0.159 [4 per cell]
B1 0.062 0.250 0.689 [4 per cell]
F1 0.078 0.042 0.804 [8 per cell]
F2 0.083 0.750 0.395 [4 per cell]
F3 0.179 0.250 0.552 [4 per cell]

Record 4
The following is a computed X-ray diffraction stick pattern of Dy6Ho12In. It was derived from DFT lattice parameters and positions (PBE), using Cu Kα, 1.54184 Å.
Peak positions follow from Bragg's law for the DFT cell and can differ from measured ones.

The 6 most intense peaks (10 to 90 degrees two-theta), sorted by position:
| d [Å] | 2θ (°) | intensity |
| --- | --- | --- |
| 2.857 | 31.31 | 41 |
| 2.802 | 31.94 | 26 |
| 2.776 | 32.25 | 100 |
| 2.675 | 33.49 | 71 |
| 2.641 | 33.94 | 28 |
| 1.632 | 56.38 | 19 |

a = 11.7630 Å, b = 11.7630 Å, c = 14.8815 Å
α = 90.00°, β = 90.00°, γ = 120.00°
Space group R-3 (No. 148, hexagonal axes)
Inequivalent atoms, fractional coordinates:
Dy1 0.0173 0.4270 0.1852 [18 per cell]
Ho1 0.0005 0.1747 0.3135 [18 per cell]
Ho2 0.0448 0.8499 0.9156 [18 per cell]
In1 0.0000 0.0000 0.5000 [3 per cell]

Record 5
The following is a computed X-ray diffraction stick pattern of PmTmTl3. It was derived from DFT lattice parameters and positions (PBE), using Cu Kα, 1.54184 Å.
Peak positions follow from Bragg's law for the DFT cell and can differ from measured ones.

The 6 most intense peaks (10 to 90 degrees two-theta), sorted by position:
| d [Å] | 2θ (°) | intensity |
| --- | --- | --- |
| 3.446 | 25.85 | 40 |
| 2.840 | 31.50 | 68 |
| 2.795 | 32.02 | 50 |
| 2.598 | 34.53 | 51 |
| 2.571 | 34.90 | 100 |
| 2.523 | 35.59 | 41 |

a = 11.958 Å, b = 11.180 Å, c = 8.686 Å
α = 90.00°, β = 90.00°, γ = 90.00°
Space group Cmce (No. 64)
Inequivalent atoms, fractional coordinates:
Pm1 0.000 0.157 0.079 [8 per cell]
Tm1 0.250 0.114 0.750 [8 per cell]
Tl1 0.000 0.082 0.719 [8 per cell]
Tl2 0.166 0.138 0.405 [16 per cell]

Record 6
The following is a computed X-ray diffraction stick pattern of Mn2SiP. It was derived from DFT lattice parameters and positions (PBE), using Cu Kα, 1.54184 Å.
Peak positions follow from Bragg's law for the DFT cell and can differ from measured ones.

The 6 most intense peaks (10 to 90 degrees two-theta), sorted by position:
| d [Å] | 2θ (°) | intensity |
| --- | --- | --- |
| 2.292 | 39.30 | 21 |
| 2.094 | 43.20 | 100 |
| 1.983 | 45.77 | 28 |
| 1.953 | 46.50 | 48 |
| 1.945 | 46.71 | 25 |
| 1.878 | 48.48 | 78 |

a = 8.155 Å, b = 2.810 Å, c = 4.060 Å
α = 90.00°, β = 106.67°, γ = 90.00°
Space group Cm (No. 8)
Inequivalent atoms, fractional coordinates:
Mn1 0.000 0.000 0.000 [2 per cell]
Mn2 0.235 0.000 0.610 [2 per cell]
Si1 0.243 0.500 0.122 [2 per cell]
P1 0.497 0.000 0.480 [2 per cell]

Record 7
The following is a computed X-ray diffraction stick pattern of CsNaB2I8. It was derived from DFT lattice parameters and positions (PBE), using Cu Kα, 1.54184 Å.
Peak positions follow from Bragg's law for the DFT cell and can differ from measured ones.

The 6 most intense peaks (10 to 90 degrees two-theta), sorted by position:
| d [Å] | 2θ (°) | intensity |
| --- | --- | --- |
| 3.631 | 24.52 | 35 |
| 3.442 | 25.89 | 100 |
| 3.019 | 29.59 | 71 |
| 2.178 | 41.46 | 26 |
| 2.094 | 43.20 | 23 |
| 1.814 | 50.29 | 23 |

a = 7.2546 Å, b = 7.2546 Å, c = 32.6787 Å
α = 90.00°, β = 90.00°, γ = 120.00°
Space group R-3 (No. 148, hexagonal axes)
Inequivalent atoms, fractional coordinates:
Cs1 0.0000 0.0000 0.0000 [3 per cell]
Na1 0.0000 0.0000 0.5000 [3 per cell]
B1 0.0000 0.0000 0.2503 [6 per cell]
I1 0.0000 0.0000 0.3193 [6 per cell]
I2 0.0239 0.7165 0.7718 [18 per cell]

Record 8
The following is a computed X-ray diffraction stick pattern of Ac3Zn6CdGa2. It was derived from DFT lattice parameters and positions (PBE), using Cu Kα, 1.54184 Å.
Peak positions follow from Bragg's law for the DFT cell and can differ from measured ones.

The 6 most intense peaks (10 to 90 degrees two-theta), sorted by position:
| d [Å] | 2θ (°) | intensity |
| --- | --- | --- |
| 3.356 | 26.56 | 82 |
| 3.215 | 27.75 | 100 |
| 2.804 | 31.91 | 35 |
| 2.643 | 33.92 | 70 |
| 2.322 | 38.79 | 86 |
| 1.882 | 48.36 | 29 |

a = 6.4294 Å, b = 6.4294 Å, c = 8.4128 Å
α = 90.00°, β = 90.00°, γ = 120.00°
Space group P-3m1 (No. 164)
Inequivalent atoms, fractional coordinates:
Ac1 0.0000 0.0000 0.0000 [1 per cell]
Ac2 0.3333 0.6667 0.6753 [2 per cell]
Zn1 0.1950 0.3901 0.3141 [6 per cell]
Cd1 0.0000 0.0000 0.5000 [1 per cell]
Ga1 0.3333 0.6667 0.0601 [2 per cell]